This entry pairs a crystal structure of Na2CrO4 with its calculated X-ray powder pattern. Radiation: a wavelength of 1.5418 Å. Structure: the PBE+U geometry in Alexandria.
No peak broadening, texture or thermal motion is included.

Structure:
```
data_Na2CrO4
_cell_length_a 5.5627
_cell_length_b 5.5627
_cell_length_c 8.2473
_cell_angle_alpha 90.00
_cell_angle_beta 90.00
_cell_angle_gamma 90.00
_symmetry_space_group_name_H-M 'I -4 2 m'
_symmetry_Int_Tables_number 121
_symmetry_space_group_name_Hall 'I -4 2'
loop_
_atom_site_label
_atom_site_type_symbol
_atom_site_fract_x
_atom_site_fract_y
_atom_site_fract_z
Na1 Na 0.0000 0.5000 0.2500
Cr1 Cr 0.0000 0.0000 0.0000
O1 O 0.1737 0.1737 0.1160
```

Peak list (10 most intense, 2θ from 10° to 90°, sorted by position)
d 4.612, I 100, (1 0 1)
d 2.846, I 63, (1 1 2)
d 2.781, I 9, (2 0 0)
d 2.382, I 14, (2 1 1)
d 1.967, I 11, (2 2 0)
d 1.845, I 12, (2 1 3)
d 1.656, I 15, (2 0 4)
d 1.618, I 15, (3 1 2)
d 1.537, I 4, (3 0 3)
d 1.517, I 7, (3 2 1)